1.
# K2YTe3O12
Theoretical XRD peak list, Cu Kα (weighted mean of Kα1 and Kα2). Input: DFT lattice parameters and positions (PBE).
Kinematic intensities with the Lorentz-polarization factor, no thermal factor.

```
data_K2YTe3O12
_space_group_name_H-M_alt 'R -3 m'
_space_group_IT_number 166
_space_group_name_Hall '-R 3 2"'
_cell_length_a 7.4076
_cell_length_b 7.4076
_cell_length_c 18.6647
_cell_angle_alpha 90.00
_cell_angle_beta 90.00
_cell_angle_gamma 120.00
loop_
_atom_site_label
_atom_site_fract_x
_atom_site_fract_y
_atom_site_fract_z
K1 0.0000 0.0000 0.1258
Y1 0.0000 0.0000 0.5000
Te1 0.0000 0.5000 0.0000
O1 0.0416 0.5208 0.1000
O2 0.0673 0.5337 0.3487
```

Principal peaks in the range 10° ≤ 2θ ≤ 80°, sorted by position:
| two_theta | I (rel.) |
| --- | --- |
| 14.2 | 74 |
| 14.6 | 100 |
| 28.0 | 86 |
| 28.2 | 69 |
| 29.4 | 99 |
| 49.2 | 47 |


2.
# KZnTeO4
Theoretical XRD peak list, Cu Kα (weighted mean of Kα1 and Kα2). Input: DFT lattice parameters and positions (PBE).
Kinematic intensities with the Lorentz-polarization factor, no thermal factor.

```
data_KZnTeO4
_space_group_name_H-M_alt 'P 1 21/m 1'
_space_group_IT_number 11
_cell_length_a 6.3679
_cell_length_b 6.1974
_cell_length_c 6.5116
_cell_angle_alpha 90.00
_cell_angle_beta 104.04
_cell_angle_gamma 90.00
loop_
_space_group_symop_operation_xyz
'x,y,z'
'-x,-y,-z'
'-x,y+1/2,-z'
'x,-y+1/2,z'
loop_
_atom_site_label
_atom_site_fract_x
_atom_site_fract_y
_atom_site_fract_z
K1 0.1148 0.2500 0.0579
Zn1 0.4095 0.2500 0.6821
Te1 0.2530 0.7500 0.5563
O1 0.2245 0.0047 0.7243
O2 0.2630 0.7500 0.2536
O3 0.4420 0.2500 0.3783
```

Principal peaks in the range 10° ≤ 2θ ≤ 80°, sorted by position:
| two_theta | I (rel.) |
| --- | --- |
| 14.0 | 100 |
| 22.4 | 48 |
| 26.7 | 87 |
| 28.4 | 42 |
| 28.8 | 82 |
| 46.5 | 39 |


3.
# K3Ti8O17
Theoretical XRD peak list, Cu Kα (weighted mean of Kα1 and Kα2). Input: DFT lattice parameters and positions (PBE).
Kinematic intensities with the Lorentz-polarization factor, no thermal factor.

```
data_K3Ti8O17
_space_group_name_H-M_alt 'P -1'
_space_group_IT_number 2
_cell_length_a 7.6723
_cell_length_b 8.1472
_cell_length_c 12.1851
_cell_angle_alpha 95.23
_cell_angle_beta 90.00
_cell_angle_gamma 103.61
loop_
_space_group_symop_operation_xyz
'x,y,z'
'-x,-y,-z'
loop_
_atom_site_label
_atom_site_fract_x
_atom_site_fract_y
_atom_site_fract_z
K1 0.2211 0.3848 0.1651
K2 0.2450 0.4798 0.4569
K3 0.2779 0.6120 0.8184
Ti1 0.0563 0.7231 0.0694
Ti2 0.0753 0.8036 0.3241
Ti3 0.0999 0.8960 0.5771
Ti4 0.1214 0.9859 0.8306
Ti5 0.3783 0.0142 0.1696
Ti6 0.4017 0.1039 0.4224
Ti7 0.4235 0.1968 0.6759
Ti8 0.4450 0.2770 0.9307
O1 0.0000 0.5000 0.0000
O2 0.0346 0.6252 0.2250
O3 0.0535 0.7157 0.4636
O4 0.0711 0.8012 0.7071
O5 0.0863 0.8435 0.9353
O6 0.1138 0.9553 0.1841
O7 0.1373 0.0490 0.4337
O8 0.1574 0.1297 0.6757
O9 0.1820 0.2275 0.9129
O10 0.3186 0.7740 0.0869
O11 0.3426 0.8705 0.3252
O12 0.3629 0.9514 0.5674
O13 0.3859 0.0433 0.8151
O14 0.4146 0.1567 0.0650
O15 0.4205 0.1994 0.2930
O16 0.4456 0.2842 0.5364
O17 0.4720 0.3748 0.7752
O18 0.5000 0.5000 0.0000
```

Principal peaks in the range 10° ≤ 2θ ≤ 80°, sorted by position:
| two_theta | I (rel.) |
| --- | --- |
| 11.2 | 100 |
| 12.8 | 51 |
| 28.8 | 69 |
| 29.4 | 68 |
| 33.2 | 50 |
| 47.4 | 52 |


4.
# K3Ti8O17
Theoretical XRD peak list, Cu Kα (weighted mean of Kα1 and Kα2). Input: DFT lattice parameters and positions (PBE).
Kinematic intensities with the Lorentz-polarization factor, no thermal factor.

```
data_K3Ti8O17
_space_group_name_H-M_alt 'C 1 m 1'
_space_group_IT_number 8
_cell_length_a 15.8579
_cell_length_b 3.8386
_cell_length_c 12.1877
_cell_angle_alpha 90.00
_cell_angle_beta 95.53
_cell_angle_gamma 90.00
loop_
_space_group_symop_operation_xyz
'x,y,z'
'x,-y,z'
'x+1/2,y+1/2,z'
'x+1/2,-y+1/2,z'
loop_
_atom_site_label
_atom_site_fract_x
_atom_site_fract_y
_atom_site_fract_z
K1 0.0000 0.0000 0.0000
K2 0.0512 0.0000 0.3084
K3 0.1133 0.0000 0.6519
Ti1 0.1686 0.5000 0.8991
Ti2 0.2088 0.5000 0.1537
Ti3 0.2543 0.5000 0.4084
Ti4 0.2998 0.5000 0.6614
Ti5 0.3142 0.0000 0.0000
Ti6 0.3577 0.0000 0.2534
Ti7 0.4049 0.0000 0.5064
Ti8 0.4456 0.0000 0.7608
O1 0.0569 0.5000 0.8305
O2 0.1192 0.5000 0.0553
O3 0.1650 0.5000 0.2933
O4 0.1936 0.0000 0.9176
O5 0.2077 0.5000 0.5383
O6 0.2283 0.5000 0.7655
O7 0.2419 0.0000 0.1550
O8 0.2823 0.0000 0.3977
O9 0.2848 0.5000 0.0149
O10 0.3288 0.0000 0.6468
O11 0.3312 0.5000 0.2639
O12 0.3712 0.5000 0.5064
O13 0.3852 0.0000 0.8958
O14 0.4064 0.0000 0.1244
O15 0.4200 0.5000 0.7449
O16 0.4484 0.0000 0.3674
O17 0.4932 0.0000 0.6072
```

Principal peaks in the range 10° ≤ 2θ ≤ 80°, sorted by position:
| two_theta | I (rel.) |
| --- | --- |
| 11.2 | 100 |
| 12.8 | 50 |
| 28.8 | 69 |
| 29.3 | 67 |
| 33.2 | 54 |
| 47.4 | 51 |


5.
# K6TiO4
Theoretical XRD peak list, Cu Kα (weighted mean of Kα1 and Kα2). Input: DFT lattice parameters and positions (PBE).
Kinematic intensities with the Lorentz-polarization factor, no thermal factor.

```
data_K6TiO4
_space_group_name_H-M_alt 'C m c 21'
_space_group_IT_number 36
_cell_length_a 12.0070
_cell_length_b 22.6132
_cell_length_c 6.1246
_cell_angle_alpha 90.00
_cell_angle_beta 90.00
_cell_angle_gamma 90.00
loop_
_space_group_symop_operation_xyz
'x,y,z'
'-x,-y,z+1/2'
'-x,y,z'
'x,-y,z+1/2'
'x+1/2,y+1/2,z'
'-x+1/2,-y+1/2,z+1/2'
'-x+1/2,y+1/2,z'
'x+1/2,-y+1/2,z+1/2'
loop_
_atom_site_label
_atom_site_fract_x
_atom_site_fract_y
_atom_site_fract_z
K1 0.0000 0.0271 0.0000
K2 0.0000 0.2829 0.4888
K3 0.1479 0.1639 0.9784
K4 0.1933 0.4288 0.9958
Ti1 0.0000 0.1177 0.5547
O1 0.0000 0.1224 0.2542
O2 0.0000 0.1902 0.6898
O3 0.1213 0.0766 0.6646
```

Principal peaks in the range 10° ≤ 2θ ≤ 80°, sorted by position:
| two_theta | I (rel.) |
| --- | --- |
| 21.4 | 100 |
| 26.9 | 98 |
| 29.2 | 50 |
| 31.6 | 53 |
| 32.2 | 33 |
| 38.9 | 33 |


6.
# K2Ti4O9
Theoretical XRD peak list, Cu Kα (weighted mean of Kα1 and Kα2). Input: DFT lattice parameters and positions (PBE).
Kinematic intensities with the Lorentz-polarization factor, no thermal factor.

```
data_K2Ti4O9
_space_group_name_H-M_alt 'C 1 2/m 1'
_space_group_IT_number 12
_cell_length_a 18.6927
_cell_length_b 3.8060
_cell_length_c 12.1612
_cell_angle_alpha 90.00
_cell_angle_beta 106.94
_cell_angle_gamma 90.00
loop_
_space_group_symop_operation_xyz
'x,y,z'
'-x,-y,-z'
'-x,y,-z'
'x,-y,z'
'x+1/2,y+1/2,z'
'-x+1/2,-y+1/2,-z'
'-x+1/2,y+1/2,-z'
'x+1/2,-y+1/2,z'
loop_
_atom_site_label
_atom_site_fract_x
_atom_site_fract_y
_atom_site_fract_z
K1 0.0208 0.0000 0.3338
K2 0.0840 0.0000 0.0843
Ti1 0.1223 0.5000 0.8609
Ti2 0.1619 0.5000 0.6231
Ti3 0.2030 0.5000 0.3958
Ti4 0.2459 0.5000 0.1665
O1 0.0339 0.5000 0.8789
O2 0.0849 0.5000 0.6816
O3 0.1224 0.5000 0.4605
O4 0.1511 0.0000 0.8563
O5 0.1620 0.5000 0.2423
O6 0.1825 0.5000 0.0268
O7 0.1919 0.0000 0.6405
O8 0.2299 0.0000 0.4214
O9 0.2330 0.5000 0.7995
```

Principal peaks in the range 10° ≤ 2θ ≤ 80°, sorted by position:
| two_theta | I (rel.) |
| --- | --- |
| 27.8 | 94 |
| 30.0 | 100 |
| 30.7 | 65 |
| 40.3 | 60 |
| 42.9 | 57 |
| 47.8 | 64 |


7.
# KTiTlO3
Theoretical XRD peak list, Cu Kα (weighted mean of Kα1 and Kα2). Input: DFT lattice parameters and positions (PBE).
Kinematic intensities with the Lorentz-polarization factor, no thermal factor.

```
data_KTiTlO3
_space_group_name_H-M_alt 'C 1 2/c 1'
_space_group_IT_number 15
_cell_length_a 6.4982
_cell_length_b 12.3240
_cell_length_c 5.5153
_cell_angle_alpha 90.00
_cell_angle_beta 99.09
_cell_angle_gamma 90.00
loop_
_space_group_symop_operation_xyz
'x,y,z'
'-x,-y,-z'
'-x,y,-z+1/2'
'x,-y,z+1/2'
'x+1/2,y+1/2,z'
'-x+1/2,-y+1/2,-z'
'-x+1/2,y+1/2,-z+1/2'
'x+1/2,-y+1/2,z+1/2'
loop_
_atom_site_label
_atom_site_fract_x
_atom_site_fract_y
_atom_site_fract_z
K1 0.0000 0.0868 0.2500
Ti1 0.0000 0.4518 0.2500
Tl1 0.0000 0.2733 0.7500
O1 0.0000 0.3053 0.2500
O2 0.1871 0.4706 0.9875
```

Principal peaks in the range 10° ≤ 2θ ≤ 80°, sorted by position:
| two_theta | I (rel.) |
| --- | --- |
| 14.4 | 53 |
| 20.9 | 87 |
| 24.1 | 53 |
| 27.8 | 79 |
| 29.4 | 94 |
| 31.8 | 100 |


8.
# K3UTi2O9
Theoretical XRD peak list, Cu Kα (weighted mean of Kα1 and Kα2). Input: DFT lattice parameters and positions (PBE).
Kinematic intensities with the Lorentz-polarization factor, no thermal factor.

```
data_K3UTi2O9
_space_group_name_H-M_alt 'P -3 m 1'
_space_group_IT_number 164
_space_group_name_Hall '-P 3 2"'
_cell_length_a 5.7309
_cell_length_b 5.7309
_cell_length_c 7.0537
_cell_angle_alpha 90.00
_cell_angle_beta 90.00
_cell_angle_gamma 120.00
loop_
_atom_site_label
_atom_site_fract_x
_atom_site_fract_y
_atom_site_fract_z
K1 0.0000 0.0000 0.0000
K2 0.3333 0.6667 0.6689
U1 0.0000 0.0000 0.5000
Ti1 0.3333 0.6667 0.1452
O1 0.0000 0.5000 0.0000
O2 0.1710 0.3421 0.3270
```

Principal peaks in the range 10° ≤ 2θ ≤ 80°, sorted by position:
| two_theta | I (rel.) |
| --- | --- |
| 17.9 | 48 |
| 21.9 | 100 |
| 31.1 | 78 |
| 31.2 | 67 |
| 44.6 | 58 |
| 55.5 | 43 |